Record 1
Starting from DFT lattice parameters and positions (PBE), the powder XRD pattern of Nd3Si4Pd2Au2 was calculated for Cu Kα (weighted mean of Kα1 and Kα2).

Cell and atoms:
```
Nd3Si4Pd2Au2
1.0
-2.122 2.136 12.372
2.122 -2.136 12.372
2.122 2.136 -12.372
Nd Si Pd Au
3 4 2 2
direct
0.000 0.000 0.000 Nd
0.351 0.851 0.500 Nd
0.649 0.149 0.500 Nd
0.198 0.698 0.500 Si
0.452 0.452 0.000 Si
0.548 0.548 0.000 Si
0.802 0.302 0.500 Si
0.249 0.249 0.000 Pd
0.751 0.751 0.000 Pd
0.098 0.598 0.500 Au
0.902 0.402 0.500 Au
```

Most intense lines, 10 to 90 degrees two-theta, sorted by position:
2θ = 27.69°, I 21
2θ = 32.96°, I 32
2θ = 33.09°, I 100
2θ = 38.97°, I 19
2θ = 42.32°, I 21
2θ = 42.61°, I 20



Record 2
Starting from DFT lattice parameters and positions (PBE), the powder XRD pattern of Tm3Co2Ge3 was calculated for Cu Kα (weighted mean of Kα1 and Kα2).

Cell and atoms:
```
Tm3Co2Ge3
1.0
2.071 -5.135 0.000
2.071 5.135 0.000
0.000 0.000 13.832
Tm Co Ge
6 4 6
direct
0.082 0.918 0.610 Tm
0.082 0.918 0.890 Tm
0.359 0.641 0.750 Tm
0.641 0.359 0.250 Tm
0.918 0.082 0.110 Tm
0.918 0.082 0.390 Tm
0.207 0.793 0.097 Co
0.207 0.793 0.403 Co
0.793 0.207 0.597 Co
0.793 0.207 0.903 Co
0.340 0.660 0.250 Ge
0.372 0.628 0.539 Ge
0.372 0.628 0.961 Ge
0.628 0.372 0.039 Ge
0.628 0.372 0.461 Ge
0.660 0.340 0.750 Ge
```

Most intense lines, 10 to 90 degrees two-theta, sorted by position:
2θ = 34.61°, I 43
2θ = 34.92°, I 100
2θ = 39.34°, I 34
2θ = 40.20°, I 18
2θ = 43.12°, I 22
2θ = 43.72°, I 32



Record 3
Starting from DFT lattice parameters and positions (PBE), the powder XRD pattern of CuClF10 was calculated for Cu Kα (weighted mean of Kα1 and Kα2).

Cell and atoms:
```
CuClF10
1.0
6.797 0.000 0.000
0.000 8.478 0.000
-1.018 0.000 4.362
Cu Cl F
2 2 20
direct
0.000 0.000 0.000 Cu
0.000 0.500 0.500 Cu
0.500 0.000 0.500 Cl
0.500 0.500 0.000 Cl
0.095 0.108 0.725 F
0.095 0.392 0.225 F
0.117 0.670 0.405 F
0.117 0.830 0.905 F
0.317 0.118 0.288 F
0.317 0.382 0.788 F
0.323 0.612 0.094 F
0.323 0.888 0.594 F
0.496 0.614 0.694 F
0.496 0.886 0.194 F
0.504 0.114 0.806 F
0.504 0.386 0.306 F
0.677 0.112 0.406 F
0.677 0.388 0.906 F
0.683 0.618 0.212 F
0.683 0.882 0.712 F
0.883 0.170 0.095 F
0.883 0.330 0.595 F
0.905 0.608 0.775 F
0.905 0.892 0.275 F
```

Most intense lines, 10 to 90 degrees two-theta, sorted by position:
2θ = 20.96°, I 77
2θ = 24.14°, I 100
2θ = 26.94°, I 45
2θ = 28.94°, I 98
2θ = 34.38°, I 40
2θ = 53.07°, I 36



Record 4
Starting from DFT lattice parameters and positions (PBE), the powder XRD pattern of HoZr3 was calculated for Cu Kα (weighted mean of Kα1 and Kα2).

Cell and atoms:
```
HoZr3
1.0
5.227 0.000 0.000
0.000 6.612 0.000
0.000 0.000 5.737
Ho Zr
2 6
direct
0.250 0.250 0.160 Ho
0.750 0.750 0.840 Ho
0.250 0.004 0.661 Zr
0.250 0.496 0.661 Zr
0.250 0.750 0.184 Zr
0.750 0.250 0.816 Zr
0.750 0.504 0.339 Zr
0.750 0.996 0.339 Zr
```

Most intense lines, 10 to 90 degrees two-theta, sorted by position:
2θ = 31.21°, I 24
2θ = 34.31°, I 25
2θ = 35.73°, I 100
2θ = 55.54°, I 18
2θ = 62.37°, I 19
2θ = 66.94°, I 20



Record 5
Starting from DFT lattice parameters and positions (PBE), the powder XRD pattern of ZrSbMo was calculated for Cu Kα (weighted mean of Kα1 and Kα2).

Cell and atoms:
```
ZrSbMo
1.0
6.494 0.000 0.000
0.000 6.494 0.000
0.000 0.000 6.494
Zr Sb Mo
4 4 4
direct
0.000 0.000 0.000 Zr
0.000 0.500 0.500 Zr
0.500 0.000 0.500 Zr
0.500 0.500 0.000 Zr
0.250 0.250 0.750 Sb
0.250 0.750 0.250 Sb
0.750 0.250 0.250 Sb
0.750 0.750 0.750 Sb
0.000 0.000 0.500 Mo
0.000 0.500 0.000 Mo
0.500 0.000 0.000 Mo
0.500 0.500 0.500 Mo
```

Most intense lines, 10 to 90 degrees two-theta, sorted by position:
2θ = 23.73°, I 38
2θ = 39.24°, I 100
2θ = 46.37°, I 19
2θ = 56.70°, I 17
2θ = 71.12°, I 33
2θ = 84.37°, I 11



Record 6
Starting from DFT lattice parameters and positions (PBE), the powder XRD pattern of Cu2Ag was calculated for Cu Kα (weighted mean of Kα1 and Kα2).

Cell and atoms:
```
Cu2Ag
1.0
4.636 -1.396 0.000
4.636 1.396 0.000
-3.832 0.000 9.630
Cu Ag
6 3
direct
0.000 0.000 0.000 Cu
0.000 0.000 0.334 Cu
0.325 0.325 0.807 Cu
0.358 0.358 0.455 Cu
0.360 0.360 0.119 Cu
0.683 0.683 0.927 Cu
0.005 0.005 0.701 Ag
0.677 0.677 0.560 Ag
0.680 0.680 0.227 Ag
```

Most intense lines, 10 to 90 degrees two-theta, sorted by position:
2θ = 40.80°, I 53
2θ = 40.93°, I 49
2θ = 41.58°, I 100
2θ = 45.29°, I 81
2θ = 53.01°, I 18
2θ = 81.56°, I 24



Record 7
Starting from DFT lattice parameters and positions (PBE), the powder XRD pattern of TbSi2TcPd was calculated for Cu Kα (weighted mean of Kα1 and Kα2).

Cell and atoms:
```
TbSi2TcPd
1.0
4.146 0.000 0.000
0.000 4.146 0.000
0.000 0.000 9.948
Tb Si Tc Pd
2 4 2 2
direct
0.000 0.000 0.000 Tb
0.500 0.500 0.500 Tb
0.000 0.000 0.377 Si
0.000 0.000 0.623 Si
0.500 0.500 0.123 Si
0.500 0.500 0.877 Si
0.000 0.500 0.250 Tc
0.500 0.000 0.750 Tc
0.000 0.500 0.750 Pd
0.500 0.000 0.250 Pd
```

Most intense lines, 10 to 90 degrees two-theta, sorted by position:
2θ = 23.24°, I 29
2θ = 34.64°, I 31
2θ = 35.54°, I 100
2θ = 43.66°, I 37
2θ = 57.91°, I 17
2θ = 74.90°, I 22



Record 8
Starting from DFT lattice parameters and positions (PBE), the powder XRD pattern of Ta3FeCN was calculated for Cu Kα (weighted mean of Kα1 and Kα2).

Cell and atoms:
```
Ta3FeCN
1.0
3.099 0.000 0.000
-1.549 2.684 0.000
0.000 0.000 18.174
Ta Fe C N
6 2 2 2
direct
0.000 0.000 0.000 Ta
0.000 0.000 0.500 Ta
0.333 0.667 0.142 Ta
0.333 0.667 0.358 Ta
0.667 0.333 0.642 Ta
0.667 0.333 0.858 Ta
0.000 0.000 0.248 Fe
0.000 0.000 0.752 Fe
0.333 0.667 0.574 C
0.667 0.333 0.426 C
0.333 0.667 0.928 N
0.667 0.333 0.072 N
```

Most intense lines, 10 to 90 degrees two-theta, sorted by position:
2θ = 33.76°, I 48
2θ = 38.98°, I 100
2θ = 39.68°, I 20
2θ = 41.84°, I 49
2θ = 57.08°, I 21
2θ = 59.68°, I 33



Record 9
Starting from DFT lattice parameters and positions (PBE), the powder XRD pattern of YErGa4Ni2 was calculated for Cu Kα (weighted mean of Kα1 and Kα2).

Cell and atoms:
```
YErGa4Ni2
1.0
6.681 0.000 0.000
0.000 4.112 0.000
0.000 0.000 10.060
Y Er Ga Ni
2 2 8 4
direct
0.000 0.000 0.000 Y
0.000 0.500 0.500 Y
0.500 0.000 0.856 Er
0.500 0.500 0.356 Er
0.197 0.000 0.285 Ga
0.197 0.500 0.785 Ga
0.305 0.000 0.572 Ga
0.305 0.500 0.072 Ga
0.695 0.000 0.572 Ga
0.695 0.500 0.072 Ga
0.803 0.000 0.285 Ga
0.803 0.500 0.785 Ga
0.000 0.000 0.717 Ni
0.000 0.500 0.217 Ni
0.500 0.000 0.139 Ni
0.500 0.500 0.639 Ni
```

Most intense lines, 10 to 90 degrees two-theta, sorted by position:
2θ = 35.76°, I 100
2θ = 37.12°, I 75
2θ = 38.24°, I 37
2θ = 44.05°, I 35
2θ = 44.49°, I 22
2θ = 59.72°, I 19



Record 10
Starting from DFT lattice parameters and positions (PBE), the powder XRD pattern of La2PtAu was calculated for Cu Kα (weighted mean of Kα1 and Kα2).

Cell and atoms:
```
La2PtAu
1.0
4.708 0.000 0.000
0.000 3.989 0.000
0.000 0.000 11.269
La Pt Au
4 2 2
direct
0.000 0.000 0.000 La
0.000 0.500 0.500 La
0.500 0.000 0.271 La
0.500 0.500 0.771 La
0.000 0.000 0.729 Pt
0.000 0.500 0.229 Pt
0.500 0.000 0.548 Au
0.500 0.500 0.048 Au
```

Most intense lines, 10 to 90 degrees two-theta, sorted by position:
2θ = 30.42°, I 100
2θ = 31.76°, I 34
2θ = 37.19°, I 24
2θ = 38.05°, I 93
2θ = 38.24°, I 35
2θ = 45.47°, I 26



Record 11
Starting from DFT lattice parameters and positions (PBE), the powder XRD pattern of Zr4NiC3 was calculated for Cu Kα (weighted mean of Kα1 and Kα2).

Cell and atoms:
```
Zr4NiC3
1.0
3.345 0.000 0.000
-1.672 2.897 0.000
0.000 0.000 23.661
Zr Ni C
8 2 6
direct
0.000 0.000 0.169 Zr
0.000 0.000 0.331 Zr
0.000 0.000 0.669 Zr
0.000 0.000 0.831 Zr
0.333 0.667 0.056 Zr
0.333 0.667 0.444 Zr
0.667 0.333 0.556 Zr
0.667 0.333 0.944 Zr
0.333 0.667 0.250 Ni
0.667 0.333 0.750 Ni
0.000 0.000 0.000 C
0.000 0.000 0.500 C
0.333 0.667 0.617 C
0.333 0.667 0.883 C
0.667 0.333 0.117 C
0.667 0.333 0.383 C
```

Most intense lines, 10 to 90 degrees two-theta, sorted by position:
2θ = 31.11°, I 23
2θ = 31.81°, I 35
2θ = 34.48°, I 22
2θ = 36.37°, I 77
2θ = 38.57°, I 100
2θ = 54.90°, I 48



Record 12
Starting from DFT lattice parameters and positions (PBE), the powder XRD pattern of Er2CdC4 was calculated for Cu Kα (weighted mean of Kα1 and Kα2).

Cell and atoms:
```
Er2CdC4
1.0
-4.190 4.695 2.604
4.190 -4.695 2.604
4.190 4.695 -2.604
Er Cd C
4 2 8
direct
0.141 0.145 0.286 Er
0.359 0.645 0.004 Er
0.641 0.355 0.996 Er
0.859 0.855 0.714 Er
0.250 0.750 0.500 Cd
0.750 0.250 0.500 Cd
0.108 0.710 0.819 C
0.127 0.869 0.997 C
0.373 0.369 0.742 C
0.392 0.210 0.602 C
0.608 0.790 0.398 C
0.627 0.631 0.258 C
0.873 0.131 0.003 C
0.892 0.290 0.181 C
```

Most intense lines, 10 to 90 degrees two-theta, sorted by position:
2θ = 27.71°, I 92
2θ = 28.95°, I 100
2θ = 30.49°, I 71
2θ = 33.47°, I 57
2θ = 37.41°, I 55
2θ = 56.55°, I 64



Record 13
Starting from DFT lattice parameters and positions (PBE), the powder XRD pattern of Cs3Zr4 was calculated for Cu Kα (weighted mean of Kα1 and Kα2).

Cell and atoms:
```
Cs3Zr4
1.0
11.172 0.000 0.000
-5.586 9.675 0.000
0.000 0.000 4.948
Cs Zr
6 8
direct
0.088 0.799 0.250 Cs
0.201 0.289 0.250 Cs
0.289 0.088 0.750 Cs
0.711 0.912 0.250 Cs
0.799 0.711 0.750 Cs
0.912 0.201 0.750 Cs
0.153 0.575 0.750 Zr
0.333 0.667 0.250 Zr
0.422 0.847 0.750 Zr
0.425 0.578 0.750 Zr
0.575 0.422 0.250 Zr
0.578 0.153 0.250 Zr
0.667 0.333 0.750 Zr
0.847 0.425 0.250 Zr
```

Most intense lines, 10 to 90 degrees two-theta, sorted by position:
2θ = 25.76°, I 36
2θ = 30.39°, I 100
2θ = 33.39°, I 43
2θ = 36.32°, I 25
2θ = 46.78°, I 30
2θ = 50.16°, I 27